No. 1
For ThZn11Pt, a DFT-relaxed cell (PBE, Alexandria) gives the calculated X-ray powder pattern in this record (a wavelength of 1.5418 Å).

Crystal structure
```
ThZn11Pt
1.0
2.625 -6.389 0.000
2.625 6.389 0.000
-2.543 0.000 6.310
Th Zn Pt
1 11 1
Direct
0.000 0.000 0.000 Th
0.000 0.500 0.000 Zn
0.012 0.657 0.643 Zn
0.282 0.505 0.780 Zn
0.343 0.988 0.357 Zn
0.495 0.718 0.220 Zn
0.500 0.000 0.000 Zn
0.500 0.500 0.500 Zn
0.505 0.282 0.780 Zn
0.657 0.012 0.643 Zn
0.718 0.495 0.220 Zn
0.988 0.343 0.357 Zn
0.000 0.000 0.500 Pt
```

The 10 most intense peaks (2θ = 15–90°), by intensity:
2theta  I_rel
40.17  100.0
39.86  74.9
39.94  74.4
39.61  68.2
34.64  54.2
40.06  52.1
28.25  48.4
19.51  41.3
44.66  38.6
27.83  34.1

No. 2
For La2AlCu2O6, a DFT-relaxed cell (PBE, Alexandria) gives the calculated X-ray powder pattern in this record (a wavelength of 1.5418 Å).

Crystal structure
```
La2AlCu2O6
1.0
2.883 1.664 4.932
-2.883 1.664 4.932
0.000 -3.329 4.932
La Al Cu O
2 1 2 6
Direct
0.215 0.215 0.215 La
0.785 0.785 0.785 La
0.000 0.000 0.000 Al
0.415 0.415 0.415 Cu
0.585 0.585 0.585 Cu
0.206 0.770 0.770 O
0.230 0.230 0.794 O
0.230 0.794 0.230 O
0.770 0.206 0.770 O
0.770 0.770 0.206 O
0.794 0.230 0.230 O
```

The 10 most intense peaks (2θ = 15–90°), by intensity:
2theta  I_rel
31.02  100.0
35.26  59.0
57.96  34.1
47.66  27.8
38.04  20.6
21.47  20.2
55.18  18.7
64.66  17.3
36.09  13.8
17.99  13.6

No. 3
For Pm6YTm5, a DFT-relaxed cell (PBE, Alexandria) gives the calculated X-ray powder pattern in this record (a wavelength of 1.5418 Å).

Crystal structure
```
Pm6YTm5
1.0
2.543 -7.627 0.000
2.543 7.627 0.000
0.000 0.000 10.006
Pm Y Tm
6 1 5
Direct
0.000 0.000 0.248 Pm
0.000 0.000 0.752 Pm
0.333 0.667 0.249 Pm
0.333 0.667 0.751 Pm
0.667 0.333 0.249 Pm
0.667 0.333 0.751 Pm
0.500 0.500 0.500 Y
0.167 0.833 0.000 Tm
0.167 0.833 0.500 Tm
0.500 0.500 0.000 Tm
0.833 0.167 0.000 Tm
0.833 0.167 0.500 Tm
```

The 10 most intense peaks (2θ = 15–90°), by intensity:
2theta  I_rel
30.62  100.0
35.30  34.3
60.47  28.9
51.23  23.8
35.90  16.4
61.27  13.9
63.75  12.4
50.78  12.2
83.51  11.7
82.81  6.0

No. 4
For Pm6Rh5, a DFT-relaxed cell (PBE, Alexandria) gives the calculated X-ray powder pattern in this record (a wavelength of 1.5418 Å).

Crystal structure
```
Pm6Rh5
1.0
4.956 0.000 0.000
0.000 7.059 0.000
-2.465 0.000 7.407
Pm Rh
6 5
Direct
0.000 0.248 0.000 Pm
0.000 0.752 0.000 Pm
0.334 0.249 0.667 Pm
0.334 0.751 0.667 Pm
0.666 0.249 0.333 Pm
0.666 0.751 0.333 Pm
0.166 0.500 0.331 Rh
0.172 0.000 0.343 Rh
0.500 0.000 0.000 Rh
0.828 0.000 0.657 Rh
0.834 0.500 0.669 Rh
```

The 10 most intense peaks (2θ = 15–90°), by intensity:
2theta  I_rel
36.15  100.0
36.25  24.8
36.39  24.5
64.91  17.9
65.15  17.7
65.32  17.3
52.31  17.2
76.71  11.0
51.80  8.9
87.46  8.1

No. 5
For CaNdTi4O12, a DFT-relaxed cell (PBE, Alexandria) gives the calculated X-ray powder pattern in this record (a wavelength of 1.5418 Å).

Crystal structure
```
CaNdTi4O12
1.0
7.771 0.000 0.000
0.000 3.852 3.878
0.000 -3.852 3.878
Ca Nd Ti O
1 1 4 12
Direct
0.000 0.000 0.000 Ca
0.500 0.439 0.439 Nd
0.247 0.473 0.955 Ti
0.247 0.955 0.473 Ti
0.753 0.473 0.955 Ti
0.753 0.955 0.473 Ti
0.000 0.479 0.941 O
0.000 0.941 0.479 O
0.239 0.231 0.231 O
0.244 0.183 0.736 O
0.244 0.736 0.183 O
0.287 0.671 0.671 O
0.500 0.447 0.995 O
0.500 0.995 0.447 O
0.713 0.671 0.671 O
0.756 0.183 0.736 O
0.756 0.736 0.183 O
0.761 0.231 0.231 O
```

The 10 most intense peaks (2θ = 15–90°), by intensity:
2theta  I_rel
19.86  100.0
32.75  76.1
46.80  38.9
32.62  34.5
38.48  30.9
58.30  27.3
16.22  24.0
47.19  19.6
68.65  18.9
38.71  17.4

No. 6
For Mn4NbMo, a DFT-relaxed cell (PBE, Alexandria) gives the calculated X-ray powder pattern in this record (a wavelength of 1.5418 Å).

Crystal structure
```
Mn4NbMo
1.0
0.000 3.375 3.375
3.375 0.000 3.375
3.375 3.375 0.000
Mn Nb Mo
4 1 1
Direct
0.376 0.376 0.376 Mn
0.376 0.376 0.873 Mn
0.376 0.873 0.376 Mn
0.873 0.376 0.376 Mn
0.750 0.750 0.750 Nb
0.000 0.000 0.000 Mo
```

The 9 most intense peaks (2θ = 15–90°), by intensity:
2theta  I_rel
44.52  100.0
37.69  49.6
72.81  28.5
46.61  23.1
80.49  22.3
68.05  16.7
22.82  1.8
85.02  0.6
59.71  0.6

No. 7
For PrAl2Ni2, a DFT-relaxed cell (PBE, Alexandria) gives the calculated X-ray powder pattern in this record (a wavelength of 1.5418 Å).

Crystal structure
```
PrAl2Ni2
1.0
9.797 0.000 0.000
0.000 4.159 0.000
-1.395 0.000 4.399
Pr Al Ni
2 4 4
Direct
0.000 0.000 0.000 Pr
0.500 0.500 0.000 Pr
0.155 0.500 0.592 Al
0.345 0.000 0.408 Al
0.655 0.000 0.592 Al
0.845 0.500 0.408 Al
0.241 0.500 0.154 Ni
0.259 0.000 0.846 Ni
0.741 0.000 0.154 Ni
0.759 0.500 0.846 Ni
```

The 10 most intense peaks (2θ = 15–90°), by intensity:
2theta  I_rel
32.99  100.0
20.19  81.5
36.04  61.4
36.90  60.7
50.43  42.4
23.41  41.5
43.52  40.4
48.10  39.3
37.77  33.5
39.67  28.6

No. 8
For ScSe2, a DFT-relaxed cell (PBE, Alexandria) gives the calculated X-ray powder pattern in this record (a wavelength of 1.5418 Å).

Crystal structure
```
ScSe2
1.0
3.662 0.000 0.000
0.000 7.574 0.000
0.000 0.000 9.744
Sc Se
4 8
Direct
0.000 0.235 0.000 Sc
0.000 0.765 0.000 Sc
0.500 0.265 0.500 Sc
0.500 0.735 0.500 Sc
0.000 0.000 0.506 Se
0.000 0.339 0.709 Se
0.000 0.500 0.383 Se
0.000 0.661 0.709 Se
0.500 0.000 0.883 Se
0.500 0.161 0.209 Se
0.500 0.500 0.006 Se
0.500 0.839 0.209 Se
```

The 10 most intense peaks (2θ = 15–90°), by intensity:
2theta  I_rel
35.32  100.0
29.92  87.6
36.97  62.5
32.80  55.0
36.78  40.0
25.99  36.4
44.27  33.1
49.80  26.3
47.56  25.7
59.19  24.7

No. 9
For Zr5Al3, a DFT-relaxed cell (PBE, Alexandria) gives the calculated X-ray powder pattern in this record (a wavelength of 1.5418 Å).

Crystal structure
```
Zr5Al3
1.0
0.000 4.042 6.361
3.166 0.000 6.361
3.166 4.042 0.000
Zr Al
5 3
Direct
0.000 0.000 0.000 Zr
0.128 0.128 0.372 Zr
0.372 0.372 0.128 Zr
0.628 0.628 0.872 Zr
0.872 0.872 0.628 Zr
0.246 0.246 0.754 Al
0.500 0.500 0.500 Al
0.754 0.754 0.246 Al
```

The 10 most intense peaks (2θ = 15–90°), by intensity:
2theta  I_rel
35.93  100.0
36.04  99.6
40.19  72.6
61.78  39.5
44.85  26.5
70.41  26.4
70.21  26.2
21.99  23.5
76.87  20.5
19.12  15.1

No. 10
For ReTe3Br5, a DFT-relaxed cell (PBE, Alexandria) gives the calculated X-ray powder pattern in this record (a wavelength of 1.5418 Å).

Crystal structure
```
ReTe3Br5
1.0
11.987 0.000 0.000
0.000 9.033 0.000
-3.964 0.000 12.743
Re Te Br
4 12 20
Direct
0.131 0.000 0.277 Re
0.274 0.794 0.213 Re
0.726 0.294 0.787 Re
0.869 0.500 0.723 Re
0.069 0.886 0.086 Te
0.100 0.176 0.434 Te
0.133 0.704 0.329 Te
0.305 0.080 0.203 Te
0.320 0.883 0.416 Te
0.417 0.763 0.086 Te
0.583 0.263 0.914 Te
0.680 0.383 0.584 Te
0.695 0.580 0.797 Te
0.867 0.204 0.671 Te
0.900 0.676 0.566 Te
0.931 0.386 0.914 Te
0.053 0.271 0.217 Br
0.080 0.485 0.698 Br
0.085 0.179 0.903 Br
0.152 0.013 0.603 Br
0.232 0.556 0.095 Br
0.273 0.358 0.499 Br
0.307 0.883 0.907 Br
0.420 0.459 0.865 Br
0.471 0.645 0.297 Br
0.491 0.144 0.371 Br
0.509 0.644 0.629 Br
0.529 0.145 0.703 Br
0.580 0.959 0.135 Br
0.693 0.383 0.093 Br
0.727 0.858 0.501 Br
0.768 0.056 0.905 Br
0.848 0.513 0.397 Br
0.915 0.679 0.097 Br
0.920 0.985 0.302 Br
0.947 0.771 0.783 Br
```

The 10 most intense peaks (2θ = 15–90°), by intensity:
2theta  I_rel
30.70  100.0
31.02  96.1
46.85  55.5
35.37  55.2
36.05  52.8
42.45  50.5
18.35  48.4
20.08  45.1
26.42  43.6
37.46  43.2

No. 11
For AcAgBi2Pd2, a DFT-relaxed cell (PBE, Alexandria) gives the calculated X-ray powder pattern in this record (a wavelength of 1.5418 Å).

Crystal structure
```
AcAgBi2Pd2
1.0
5.537 0.000 0.000
0.000 5.537 0.000
0.000 0.000 11.320
Ac Ag Bi Pd
2 2 4 4
Direct
0.000 0.000 0.000 Ac
0.500 0.500 0.500 Ac
0.000 0.000 0.500 Ag
0.500 0.500 0.000 Ag
0.000 0.500 0.250 Bi
0.000 0.500 0.750 Bi
0.500 0.000 0.250 Bi
0.500 0.000 0.750 Bi
0.000 0.000 0.267 Pd
0.000 0.000 0.733 Pd
0.500 0.500 0.233 Pd
0.500 0.500 0.767 Pd
```

The 10 most intense peaks (2θ = 15–90°), by intensity:
2theta  I_rel
32.34  100.0
27.70  90.1
45.85  73.7
31.61  51.0
57.22  38.3
46.38  37.0
54.89  28.5
15.66  26.3
85.63  25.5
53.95  17.0

No. 12
For Sm3Dy7Sc, a DFT-relaxed cell (PBE, Alexandria) gives the calculated X-ray powder pattern in this record (a wavelength of 1.5418 Å).

Crystal structure
```
Sm3Dy7Sc
1.0
7.012 0.000 0.000
-3.506 6.073 0.000
0.000 0.000 8.579
Sm Dy Sc
3 7 1
Direct
0.002 0.501 0.000 Sm
0.499 0.501 0.000 Sm
0.499 0.998 0.000 Sm
0.168 0.337 0.341 Dy
0.168 0.832 0.341 Dy
0.335 0.168 0.667 Dy
0.663 0.832 0.341 Dy
0.667 0.333 0.340 Dy
0.832 0.168 0.667 Dy
0.832 0.665 0.667 Dy
0.333 0.667 0.663 Sc
```

The 10 most intense peaks (2θ = 15–90°), by intensity:
2theta  I_rel
31.26  100.0
36.25  50.9
62.11  42.0
52.20  35.4
85.37  17.6
88.14  16.4
65.20  12.1
17.90  9.6
25.41  7.6
76.94  5.6